No. 1
Cs3BiCl7: simulated X-ray powder pattern (CuKα), based on the PBE geometry in Alexandria.
Intensities are scaled so that the largest is 100.

Structural model:
```
Cs3BiCl7
1.0
10.584 0.000 0.000
0.000 10.584 0.000
0.000 0.000 7.523
Cs Bi Cl
6 2 14
direct
0.000 0.000 0.000
0.176 0.324 0.500
0.324 0.824 0.500
0.500 0.500 0.000
0.676 0.176 0.500
0.824 0.676 0.500
0.000 0.500 0.000
0.500 0.000 0.000
0.000 0.000 0.500
0.121 0.621 0.258
0.121 0.621 0.742
0.176 0.324 0.000
0.324 0.824 0.000
0.379 0.121 0.258
0.379 0.121 0.742
0.500 0.500 0.500
0.621 0.879 0.258
0.621 0.879 0.742
0.676 0.176 0.000
0.824 0.676 0.000
0.879 0.379 0.258
0.879 0.379 0.742
```

Principal peaks in the range 5 to 70 degrees two-theta, by angle:
2θ (°), I/Imax
11.82, 41
20.52, 100
23.78, 52
30.35, 53
33.79, 44
45.26, 35

***

No. 2
ZrScOs2Pt: simulated X-ray powder pattern (CuKα), based on the PBE geometry in Alexandria.
Intensities are scaled so that the largest is 100.

Structural model:
```
ZrScOs2Pt
1.0
4.559 0.000 0.000
0.000 4.559 0.000
0.000 0.000 4.753
Zr Sc Os Pt
1 1 2 1
direct
0.000 0.000 0.000
0.000 0.000 0.500
0.000 0.500 0.500
0.500 0.000 0.500
0.500 0.500 0.000
```

Principal peaks in the range 5 to 70 degrees two-theta, by angle:
2θ (°), I/Imax
33.59, 100
37.86, 24
39.53, 42
55.89, 31
65.66, 15
67.94, 27

***

No. 3
LiPa2TaN6: simulated X-ray powder pattern (CuKα), based on the PBE geometry in Alexandria.
Intensities are scaled so that the largest is 100.

Structural model:
```
LiPa2TaN6
1.0
2.821 1.629 4.988
-2.821 1.629 4.988
0.000 -3.258 4.988
Li Pa Ta N
1 2 1 6
direct
0.000 0.000 0.000
0.218 0.218 0.218
0.719 0.719 0.719
0.506 0.506 0.506
0.145 0.794 0.415
0.335 0.601 0.889
0.415 0.145 0.794
0.601 0.889 0.335
0.794 0.415 0.145
0.889 0.335 0.601
```

Principal peaks in the range 5 to 70 degrees two-theta, by angle:
2θ (°), I/Imax
21.72, 64
30.08, 100
31.72, 97
44.28, 39
48.73, 41
55.48, 40